1.
The following is a computed PXRD pattern of TiAsRu. It was derived from the GGA-PBE geometry in Alexandria, using Cu Kα X-rays.
Peak positions follow from Bragg's law for the DFT cell and can differ from measured ones.

Structural model:
```
data_TiAsRu
_chemical_formula_sum 'Ti12 As12 Ru12'
_space_group_name_H-M_alt 'I m a 2'
_space_group_IT_number 46
_cell_length_a 7.3658
_cell_length_b 11.2626
_cell_length_c 6.5436
_cell_angle_alpha 90.00
_cell_angle_beta 90.00
_cell_angle_gamma 90.00
loop_
_space_group_symop_operation_xyz
'x,y,z'
'-x,-y,z'
'-x+1/2,y,z'
'x+1/2,-y,z'
'x+1/2,y+1/2,z+1/2'
'-x+1/2,-y+1/2,z+1/2'
'-x,y+1/2,z+1/2'
'x,-y+1/2,z+1/2'
loop_
_atom_site_label
_atom_site_type_symbol
_atom_site_fract_x
_atom_site_fract_y
_atom_site_fract_z
_atom_site_occupancy
Ti1 Ti 0.2500 0.0008 0.0000 1
Ti2 Ti 0.2500 0.2185 0.3603 1
Ti3 Ti 0.2500 0.6941 0.8751 1
As1 As 0.0032 0.6667 0.5792 1
As2 As 0.2500 0.0353 0.5856 1
Ru1 Ru 0.0000 0.0000 0.3311 1
Ru2 Ru 0.0403 0.6243 0.2048 1
```

Largest 10 diffraction maxima, in order of rising 2θ, 15 to 90 degrees two-theta:
3.683 Å, rel. 40, (2 0 0)
2.445 Å, rel. 40, (2 0 2)
2.440 Å, rel. 90, (2 3 1)
2.243 Å, rel. 100, (2 2 2)
2.237 Å, rel. 35, (2 4 0)
2.141 Å, rel. 35, (0 1 3)
2.132 Å, rel. 67, (0 5 1)
1.886 Å, rel. 31, (0 3 3)
1.845 Å, rel. 53, (2 4 2)
1.841 Å, rel. 38, (4 0 0)



2.
The following is a computed PXRD pattern of La4HoTm2. It was derived from the GGA-PBE geometry in Alexandria, using Cu Kα X-rays.
Peak positions follow from Bragg's law for the DFT cell and can differ from measured ones.

Structural model:
```
data_La4HoTm2
_chemical_formula_sum 'La32 Ho8 Tm16'
_space_group_name_H-M_alt 'F d d 2'
_space_group_IT_number 43
_space_group_name_Hall 'F 2 -2d'
_cell_length_a 12.0508
_cell_length_b 24.5777
_cell_length_c 6.5130
_cell_angle_alpha 90.00
_cell_angle_beta 90.00
_cell_angle_gamma 90.00
loop_
_atom_site_label
_atom_site_type_symbol
_atom_site_fract_x
_atom_site_fract_y
_atom_site_fract_z
_atom_site_occupancy
La1 La 0.0481 0.4285 0.0000 1
La2 La 0.0722 0.3561 0.4675 1
Ho1 Ho 0.0000 0.0000 0.9998 1
Tm1 Tm 0.0221 0.2822 0.9471 1
```

Largest 10 diffraction maxima, in order of rising 2θ, 15 to 90 degrees two-theta:
3.153 Å, rel. 16, (0 2 2)
2.994 Å, rel. 100, (1 7 1)
2.926 Å, rel. 27, (4 2 0)
2.865 Å, rel. 64, (2 0 2)
2.807 Å, rel. 30, (3 5 1)
2.790 Å, rel. 22, (2 2 2)
2.449 Å, rel. 28, (3 7 1)
1.825 Å, rel. 20, (1 7 3)
1.685 Å, rel. 15, (2 14 0)
1.545 Å, rel. 14, (0 14 2)



3.
The following is a computed PXRD pattern of La2Nd3Sm8. It was derived from the GGA-PBE geometry in Alexandria, using Cu Kα X-rays.
Peak positions follow from Bragg's law for the DFT cell and can differ from measured ones.

Structural model:
```
data_La2Nd3Sm8
_chemical_formula_sum 'La2 Nd3 Sm8'
_space_group_name_H-M_alt 'P -1'
_space_group_IT_number 2
_cell_length_a 5.7371
_cell_length_b 7.7497
_cell_length_c 11.2276
_cell_angle_alpha 110.17
_cell_angle_beta 90.06
_cell_angle_gamma 90.00
loop_
_space_group_symop_operation_xyz
'x,y,z'
'-x,-y,-z'
loop_
_atom_site_label
_atom_site_type_symbol
_atom_site_fract_x
_atom_site_fract_y
_atom_site_fract_z
_atom_site_occupancy
La1 La 0.0028 0.2569 0.0145 1
Nd1 Nd 0.0000 0.5000 0.5000 1
Nd2 Nd 0.5000 0.2095 0.5002 1
Sm1 Sm 0.9996 0.1039 0.2900 1
Sm2 Sm 0.0004 0.3148 0.7106 1
Sm3 Sm 0.4983 0.8350 0.1699 1
Sm4 Sm 0.4992 0.6307 0.7613 1
```

Largest 10 diffraction maxima, in order of rising 2θ, 15 to 90 degrees two-theta:
3.637 Å, rel. 19, (0 2 -2)
3.113 Å, rel. 16, (1 1 -3)
3.110 Å, rel. 16, (1 -1 3)
2.996 Å, rel. 35, (1 0 -3)
2.869 Å, rel. 41, (2 0 0)
2.742 Å, rel. 100, (-1 2 1)
2.635 Å, rel. 12, (0 0 4)
2.252 Å, rel. 10, (2 2 -2)
1.735 Å, rel. 10, (0 3 -6)
1.631 Å, rel. 21, (-3 2 1)



4.
The following is a computed PXRD pattern of U2TaRu9. It was derived from the GGA-PBE geometry in Alexandria, using Cu Kα X-rays.
Peak positions follow from Bragg's law for the DFT cell and can differ from measured ones.

Structural model:
```
data_U2TaRu9
_chemical_formula_sum 'U2 Ta1 Ru9'
_space_group_name_H-M_alt 'P 4/m m m'
_space_group_IT_number 123
_space_group_name_Hall '-P 4 2'
_cell_length_a 3.9802
_cell_length_b 3.9802
_cell_length_c 11.8136
_cell_angle_alpha 90.00
_cell_angle_beta 90.00
_cell_angle_gamma 90.00
loop_
_atom_site_label
_atom_site_type_symbol
_atom_site_fract_x
_atom_site_fract_y
_atom_site_fract_z
_atom_site_occupancy
U1 U 0.0000 0.0000 0.1703 1
Ta1 Ta 0.0000 0.0000 0.5000 1
Ru1 Ru 0.0000 0.5000 0.0000 1
Ru2 Ru 0.0000 0.5000 0.3399 1
Ru3 Ru 0.5000 0.5000 0.1703 1
Ru4 Ru 0.5000 0.5000 0.5000 1
```

Largest 10 diffraction maxima, in order of rising 2θ, 15 to 90 degrees two-theta:
3.980 Å, rel. 9, (1 0 0)
2.799 Å, rel. 7, (1 0 3)
2.290 Å, rel. 100, (1 1 3)
1.990 Å, rel. 33, (2 0 0)
1.969 Å, rel. 16, (0 0 6)
1.407 Å, rel. 11, (2 2 0)
1.400 Å, rel. 21, (2 0 6)
1.199 Å, rel. 25, (3 1 3)
1.190 Å, rel. 12, (1 1 9)
1.145 Å, rel. 11, (2 2 6)



5.
The following is a computed PXRD pattern of PmNd4Er4. It was derived from the GGA-PBE geometry in Alexandria, using Cu Kα X-rays.
Peak positions follow from Bragg's law for the DFT cell and can differ from measured ones.

Structural model:
```
data_PmNd4Er4
_chemical_formula_sum 'Pm2 Nd8 Er8'
_space_group_name_H-M_alt 'I 4/m m m'
_space_group_IT_number 139
_space_group_name_Hall '-I 4 2'
_cell_length_a 10.8076
_cell_length_b 10.8076
_cell_length_c 5.0870
_cell_angle_alpha 90.00
_cell_angle_beta 90.00
_cell_angle_gamma 90.00
loop_
_atom_site_label
_atom_site_type_symbol
_atom_site_fract_x
_atom_site_fract_y
_atom_site_fract_z
_atom_site_occupancy
Pm1 Pm 0.0000 0.0000 0.0000 1
Nd1 Nd 0.1675 0.1675 0.5000 1
Er1 Er 0.0000 0.3362 0.0000 1
```

Largest 10 diffraction maxima, in order of rising 2θ, 15 to 90 degrees two-theta:
2.940 Å, rel. 100, (3 0 1)
2.546 Å, rel. 51, (3 3 0)
1.800 Å, rel. 36, (6 0 0)
1.535 Å, rel. 43, (3 0 3)
1.470 Å, rel. 12, (6 0 2)
1.274 Å, rel. 4, (6 6 0)
1.272 Å, rel. 2, (0 0 4)
1.168 Å, rel. 18, (6 3 3)
1.139 Å, rel. 11, (9 3 0)
1.138 Å, rel. 6, (3 3 4)



6.
The following is a computed PXRD pattern of Pm3PrPb5. It was derived from the GGA-PBE geometry in Alexandria, using Cu Kα X-rays.
Peak positions follow from Bragg's law for the DFT cell and can differ from measured ones.

Structural model:
```
data_Pm3PrPb5
_chemical_formula_sum 'Pm6 Pr2 Pb10'
_space_group_name_H-M_alt 'P 63/m c m'
_space_group_IT_number 193
_space_group_name_Hall '-P 6c 2'
_cell_length_a 9.8016
_cell_length_b 9.8016
_cell_length_c 6.5968
_cell_angle_alpha 90.00
_cell_angle_beta 90.00
_cell_angle_gamma 120.00
loop_
_atom_site_label
_atom_site_type_symbol
_atom_site_fract_x
_atom_site_fract_y
_atom_site_fract_z
_atom_site_occupancy
Pm1 Pm 0.0000 0.3778 0.2500 1
Pr1 Pr 0.0000 0.0000 0.0000 1
Pb1 Pb 0.0000 0.2947 0.7500 1
Pb2 Pb 0.3333 0.6667 0.0000 1
```

Largest 10 diffraction maxima, in order of rising 2θ, 15 to 90 degrees two-theta:
2.885 Å, rel. 30, (2 1 1)
2.829 Å, rel. 99, (3 0 0)
2.736 Å, rel. 100, (1 1 2)
2.217 Å, rel. 12, (3 1 1)
1.967 Å, rel. 32, (2 2 2)
1.634 Å, rel. 11, (3 3 0)
1.615 Å, rel. 29, (4 1 2)
1.559 Å, rel. 12, (4 2 1)
1.485 Å, rel. 10, (5 1 1)
1.425 Å, rel. 25, (3 0 4)



Repeat the sixth record exactly.
The following is a computed PXRD pattern of Pm3PrPb5. It was derived from the GGA-PBE geometry in Alexandria, using Cu Kα X-rays.
Peak positions follow from Bragg's law for the DFT cell and can differ from measured ones.

Structural model:
```
data_Pm3PrPb5
_chemical_formula_sum 'Pm6 Pr2 Pb10'
_space_group_name_H-M_alt 'P 63/m c m'
_space_group_IT_number 193
_space_group_name_Hall '-P 6c 2'
_cell_length_a 9.8016
_cell_length_b 9.8016
_cell_length_c 6.5968
_cell_angle_alpha 90.00
_cell_angle_beta 90.00
_cell_angle_gamma 120.00
loop_
_atom_site_label
_atom_site_type_symbol
_atom_site_fract_x
_atom_site_fract_y
_atom_site_fract_z
_atom_site_occupancy
Pm1 Pm 0.0000 0.3778 0.2500 1
Pr1 Pr 0.0000 0.0000 0.0000 1
Pb1 Pb 0.0000 0.2947 0.7500 1
Pb2 Pb 0.3333 0.6667 0.0000 1
```

Largest 10 diffraction maxima, in order of rising 2θ, 15 to 90 degrees two-theta:
2.885 Å, rel. 30, (2 1 1)
2.829 Å, rel. 99, (3 0 0)
2.736 Å, rel. 100, (1 1 2)
2.217 Å, rel. 12, (3 1 1)
1.967 Å, rel. 32, (2 2 2)
1.634 Å, rel. 11, (3 3 0)
1.615 Å, rel. 29, (4 1 2)
1.559 Å, rel. 12, (4 2 1)
1.485 Å, rel. 10, (5 1 1)
1.425 Å, rel. 25, (3 0 4)



Question: Which formula does entry 4 have?
Answer: U2TaRu9